# Co3P4PbO14
Theoretical X-ray diffraction stick pattern, Cu Kα X-rays. Input: a crystal structure in Alexandria, relaxed with GGA+U.

Cell and atoms:
a b c (Å): 7.584 7.867 9.632
angles (deg): 90.00 112.15 90.00
Space group P2_1/c (No. 14)
Unique sites:
Co: 0.000 0.000 0.000 (multiplicity 2)
Co: 0.185 0.124 0.525 (multiplicity 4)
P: 0.109 0.703 0.806 (multiplicity 4)
P: 0.394 0.054 0.298 (multiplicity 4)
Pb: 0.500 0.000 0.000 (multiplicity 2)
O: 0.002 0.210 0.865 (multiplicity 4)
O: 0.026 0.578 0.887 (multiplicity 4)
O: 0.152 0.625 0.386 (multiplicity 4)
O: 0.270 0.114 0.136 (multiplicity 4)
O: 0.314 0.630 0.821 (multiplicity 4)
O: 0.375 0.173 0.417 (multiplicity 4)
O: 0.404 0.514 0.192 (multiplicity 4)

Top 6 peaks for 10° ≤ 2θ ≤ 90°, in order of rising 2θ:
two_theta	I_rel
15.01	90
19.90	89
21.96	93
25.96	93
32.77	100
33.30	81